Diffraction record for Li9Mn2Co5O16. The powder diffractogram is simulated, not measured: it uses a cell relaxed with GGA+U and Cu Kα (weighted mean of Kα1 and Kα2).
Intensities are scaled so that the largest is 100.

Main lines, in order of rising 2θ (2θ from 5° to 70°):
| two_theta | I/Imax |
| --- | --- |
| 18.29 | 100 |
| 35.32 | 14 |
| 36.07 | 27 |
| 42.65 | 28 |
| 43.77 | 53 |
| 47.36 | 9 |
| 57.66 | 9 |
| 62.59 | 15 |
| 62.93 | 14 |
| 64.04 | 7 |

Structural model:
```
Li9Mn2Co5O16
1.0
5.1783 -2.9077 0.0000
5.1783 2.9077 0.0000
-3.6002 0.0000 9.6381
Li Mn Co O
9 2 5 16
Direct
0.0000 0.0000 0.0000
0.0000 0.5000 0.0000
0.0000 0.5000 0.5000
0.2401 0.2401 0.2274
0.2552 0.2552 0.7610
0.5000 0.0000 0.0000
0.5000 0.0000 0.5000
0.7448 0.7448 0.2390
0.7599 0.7599 0.7726
0.0000 0.0000 0.5000
0.5000 0.5000 0.5000
0.2437 0.7526 0.2405
0.2474 0.7563 0.7595
0.5000 0.5000 0.0000
0.7526 0.2437 0.2405
0.7563 0.2474 0.7595
0.1108 0.1108 0.3821
0.1176 0.1176 0.8586
0.1393 0.6377 0.3902
0.1437 0.6290 0.8715
0.3623 0.8607 0.6098
0.3710 0.8563 0.1285
0.3788 0.3788 0.1246
0.3982 0.3982 0.6257
0.6018 0.6018 0.3743
0.6212 0.6212 0.8754
0.6290 0.1437 0.8715
0.6377 0.1393 0.3902
0.8563 0.3710 0.1285
0.8607 0.3623 0.6098
0.8824 0.8824 0.1414
0.8892 0.8892 0.6179
```